Structure and calculated powder diffraction line list of PW2O8 (a DFT-relaxed cell (PBE+U, Alexandria); copper Kα).
Kinematic intensities with the Lorentz-polarization factor, no thermal factor.

abc: 5.368 6.747 17.789
angles: 90.00 90.00 90.00
Fractional positions:
1 P 0.238 0.051 0.311
2 P 0.262 0.949 0.811
3 P 0.738 0.449 0.689
4 P 0.762 0.551 0.189
5 W 0.245 0.411 0.453
6 W 0.249 0.748 0.629
7 W 0.251 0.252 0.129
8 W 0.255 0.589 0.953
9 W 0.745 0.089 0.547
10 W 0.749 0.752 0.371
11 W 0.751 0.248 0.871
12 W 0.755 0.911 0.047
13 O 0.017 0.446 0.181
14 O 0.018 0.602 0.399
15 O 0.020 0.772 0.006
16 O 0.023 0.937 0.589
17 O 0.047 0.091 0.832
18 O 0.229 0.889 0.728
19 O 0.246 0.239 0.359
20 O 0.249 0.407 0.043
21 O 0.251 0.593 0.543
22 O 0.254 0.761 0.859
23 O 0.271 0.111 0.228
24 O 0.453 0.909 0.332
25 O 0.477 0.063 0.089
26 O 0.480 0.228 0.506
27 O 0.482 0.398 0.899
28 O 0.483 0.554 0.681
29 O 0.517 0.054 0.819
30 O 0.518 0.898 0.601
31 O 0.520 0.728 0.994
32 O 0.523 0.563 0.411
33 O 0.547 0.409 0.168
34 O 0.729 0.611 0.272
35 O 0.746 0.261 0.641
36 O 0.749 0.093 0.957
37 O 0.751 0.907 0.457
38 O 0.754 0.739 0.141
39 O 0.771 0.389 0.772
40 O 0.953 0.591 0.668
41 O 0.977 0.437 0.911
42 O 0.980 0.272 0.494
43 O 0.982 0.102 0.101
44 O 0.983 0.946 0.319

Most intense lines, 10 to 90 degrees two-theta, sorted by position:
2θ/deg  Rel. int.  h k l
19.9  82  0 1 3
21.7  100  1 1 1
23.4  69  1 1 2
24.0  44  0 1 4
26.0  79  1 1 3
32.9  53  1 2 2
33.4  48  2 0 0
34.6  46  1 0 6
51.0  35  1 3 5
53.4  26  2 3 1